No. 1
Simulated PXRD pattern of Tb6Tm2ThSc3 for Cu Kα, 1.54184 Å, from a GGA-PBE-relaxed structure.
Peak positions follow from Bragg's law for the DFT cell and can differ from measured ones.

Structural model:
Lattice parameters (Å, degrees): 6.0468 10.4725 11.4623 90.00 100.13 90.00
Space group C2/m (No. 12)
Inequivalent atoms, fractional coordinates:
1 Tb 0.2447 0.0000 0.2423
2 Tb 0.2481 0.3345 0.2423
3 Tm 0.0000 0.3333 0.5000
4 Th 0.0000 0.0000 0.5000
5 Sc 0.0000 0.1670 0.0000
6 Sc 0.0000 0.5000 0.0000

The 10 most intense peaks (10 to 90 degrees two-theta), low angle first:
2θ = 31.4°, I = 1000, (1 3 1)
2θ = 31.7°, I = 319, (0 0 4)
2θ = 36.5°, I = 663, (2 0 2)
2θ = 52.4°, I = 237, (0 6 0)
2θ = 52.8°, I = 224, (2 0 -6)
2θ = 62.4°, I = 140, (4 0 0)
2θ = 62.6°, I = 272, (0 6 4)
2θ = 62.9°, I = 143, (1 3 -7)
2θ = 65.6°, I = 119, (4 0 -4)
2θ = 85.8°, I = 117, (4 6 0)

***

No. 2
Simulated PXRD pattern of Ca16Mg12Al for Cu Kα, 1.54184 Å, from a GGA-PBE-relaxed structure.
Peak positions follow from Bragg's law for the DFT cell and can differ from measured ones.

Structural model:
Lattice parameters (Å, degrees): 12.3246 17.0731 10.6636 90.00 123.76 90.00
Space group Cm (No. 8)
Inequivalent atoms, fractional coordinates:
1 Ca 0.0000 0.0000 0.0000
2 Ca 0.0119 0.0000 0.3521
3 Ca 0.0287 0.3088 0.6557
4 Ca 0.0524 0.3832 0.3625
5 Ca 0.2063 0.2039 0.0233
6 Ca 0.3024 0.0000 0.0378
7 Ca 0.3295 0.3226 0.3482
8 Ca 0.3531 0.3445 0.7484
9 Ca 0.3849 0.0000 0.6635
10 Ca 0.4488 0.1508 0.9417
11 Mg 0.0010 0.1875 0.1615
12 Mg 0.1028 0.0943 0.6994
13 Mg 0.1523 0.5000 0.1721
14 Mg 0.1895 0.1877 0.5177
15 Mg 0.2360 0.4101 0.9773
16 Mg 0.2605 0.0938 0.3212
17 Mg 0.3362 0.5000 0.5392
18 Al 0.1699 0.5000 0.6848

The 10 most intense peaks (10 to 90 degrees two-theta), low angle first:
2θ = 29.0°, I = 225, (0 4 2)
2θ = 30.2°, I = 297, (0 0 3)
2θ = 30.4°, I = 536, (4 0 -1)
2θ = 30.5°, I = 538, (3 3 0)
2θ = 30.7°, I = 341, (1 3 -3)
2θ = 30.9°, I = 408, (4 2 -2)
2θ = 31.0°, I = 588, (1 5 1)
2θ = 31.2°, I = 1000, (1 5 -2)
2θ = 31.4°, I = 176, (0 6 0)
2θ = 35.0°, I = 176, (2 2 2)